# 1
For Dy4ZrRh3, a GGA-PBE-relaxed structure gives the calculated powder X-ray diffraction pattern in this record (Cu Kα, 1.54184 Å).

Peak list (8 most intense, 5 to 70 degrees two-theta, by angle)
2θ 29.89, I 36; 2θ 33.17, I 83; 2θ 34.20, I 37; 2θ 36.82, I 46; 2θ 37.14, I 100; 2θ 38.08, I 39; 2θ 57.92, I 28; 2θ 68.39, I 22

Atomic structure:
a = 8.2781 Å, b = 8.2781 Å, c = 8.2781 Å
α = 97.49°, β = 97.49°, γ = 137.67°
Positions (direct):
Dy  0.0817  0.7867  0.8684
Dy  0.2133  0.0817  0.2949
Dy  0.2867  0.5817  0.8684
Dy  0.4183  0.2867  0.7051
Dy  0.5817  0.7133  0.2949
Dy  0.7133  0.4183  0.1316
Dy  0.7867  0.9183  0.7051
Dy  0.9183  0.2133  0.1316
Zr  0.2500  0.7500  0.5000
Zr  0.7500  0.2500  0.5000
Rh  0.1532  0.3468  0.5000
Rh  0.2500  0.2500  0.0000
Rh  0.3468  0.8468  0.1936
Rh  0.6532  0.1532  0.8064
Rh  0.7500  0.7500  0.0000
Rh  0.8468  0.6532  0.5000

=====

# 2
For Cd2C3N6, a GGA-PBE-relaxed structure gives the calculated powder X-ray diffraction pattern in this record (Cu Kα, 1.54184 Å).

Peak list (8 most intense, 5 to 70 degrees two-theta, by angle)
2θ 10.89, I 68; 2θ 17.24, I 89; 2θ 23.44, I 45; 2θ 29.91, I 57; 2θ 32.01, I 100; 2θ 33.07, I 48; 2θ 37.23, I 41; 2θ 42.19, I 38

Atomic structure:
a = 8.7115 Å, b = 8.7115 Å, c = 5.3959 Å
α = 107.23°, β = 107.23°, γ = 23.75°
Positions (direct):
Cd  0.1573  0.1573  0.0288
Cd  0.8427  0.8427  0.9712
C  0.0000  0.0000  0.5000
C  0.3293  0.3293  0.4657
C  0.6707  0.6707  0.5343
N  0.0300  0.0300  0.7379
N  0.3067  0.3067  0.2236
N  0.3510  0.3510  0.7037
N  0.6490  0.6490  0.2963
N  0.6933  0.6933  0.7764
N  0.9700  0.9700  0.2621

=====

# 3
For NbSe2, a GGA-PBE-relaxed structure gives the calculated powder X-ray diffraction pattern in this record (Cu Kα, 1.54184 Å).

Peak list (8 most intense, 5 to 70 degrees two-theta, by angle)
2θ 13.08, I 100; 2θ 30.40, I 53; 2θ 34.06, I 39; 2θ 35.85, I 33; 2θ 37.87, I 49; 2θ 40.09, I 40; 2θ 42.48, I 46; 2θ 52.77, I 35

Atomic structure:
a = 3.4766 Å, b = 3.4766 Å, c = 27.0687 Å
α = 90.00°, β = 90.00°, γ = 119.96°
Positions (direct):
Nb  0.2379  0.2381  0.1226
Nb  0.2381  0.2379  0.8774
Nb  0.7619  0.7621  0.3774
Nb  0.7621  0.7619  0.6226
Se  0.0952  0.4284  0.3150
Se  0.0953  0.4289  0.4395
Se  0.4284  0.0952  0.6849
Se  0.4289  0.0953  0.5605
Se  0.5711  0.9047  0.0605
Se  0.5716  0.9048  0.1850
Se  0.9047  0.5711  0.9395
Se  0.9048  0.5716  0.8151

=====

# 4
For BeCdSe2, a GGA-PBE-relaxed structure gives the calculated powder X-ray diffraction pattern in this record (Cu Kα, 1.54184 Å).

Peak list (8 most intense, 5 to 70 degrees two-theta, by angle)
2θ 18.40, I 45; 2θ 25.19, I 46; 2θ 26.00, I 100; 2θ 27.05, I 76; 2θ 29.37, I 63; 2θ 35.59, I 67; 2θ 44.88, I 68; 2θ 49.26, I 65

Atomic structure:
a = 3.9190 Å, b = 6.5919 Å, c = 7.0697 Å
α = 90.00°, β = 90.02°, γ = 90.00°
Positions (direct):
Be  0.0010  0.0000  0.1543
Be  0.9990  0.5000  0.8457
Cd  0.4985  0.9932  0.6733
Cd  0.5015  0.4932  0.3267
Se  0.0012  0.6582  0.1255
Se  0.5005  0.0897  0.3057
Se  0.4995  0.5897  0.6943
Se  0.9988  0.1582  0.8745